Simulated powder diffraction line list of Li12Cu11As12 for a wavelength of 1.5418 Å, from a structure optimized by DFT (PBE).
Neutral-atom scattering factors, no anomalous dispersion.

Principal peaks in the range 2θ from 10° to 90°, by angle:
(hkl)	2θ (°)	I/Imax
1 0 0	24.94	94
0 1 4	26.86	19
0 0 12	29.78	61
1 0 12	39.22	56
1 1 0	43.92	100
1 0 16	47.78	29
1 1 12	53.97	66
0 2 12	60.33	15
3 0 0	80.74	16
3 0 12	88.35	16

Structural model:
a b c (Å): 4.1231 4.1231 35.9979
angles (deg): 90.00 90.00 120.00
Space group P3m1 (No. 156)
Inequivalent atoms, fractional coordinates:
Li1 0.0000 0.0000 0.0000 (multiplicity 1)
Li2 0.0000 0.0000 0.0755 (multiplicity 1)
Li3 0.0000 0.0000 0.1599 (multiplicity 1)
Li4 0.0000 0.0000 0.2449 (multiplicity 1)
Li5 0.0000 0.0000 0.3285 (multiplicity 1)
Li6 0.0000 0.0000 0.4100 (multiplicity 1)
Li7 0.0000 0.0000 0.4941 (multiplicity 1)
Li8 0.0000 0.0000 0.5790 (multiplicity 1)
Li9 0.0000 0.0000 0.6620 (multiplicity 1)
Li10 0.0000 0.0000 0.7480 (multiplicity 1)
Li11 0.0000 0.0000 0.8327 (multiplicity 1)
Li12 0.0000 0.0000 0.9143 (multiplicity 1)
Cu1 0.3333 0.6667 0.1915 (multiplicity 1)
Cu2 0.3333 0.6667 0.2967 (multiplicity 1)
Cu3 0.3333 0.6667 0.4418 (multiplicity 1)
Cu4 0.3333 0.6667 0.5464 (multiplicity 1)
Cu5 0.3333 0.6667 0.6949 (multiplicity 1)
Cu6 0.3333 0.6667 0.8004 (multiplicity 1)
Cu7 0.3333 0.6667 0.9482 (multiplicity 1)
Cu8 0.6667 0.3333 0.1095 (multiplicity 1)
Cu9 0.6667 0.3333 0.3682 (multiplicity 1)
Cu10 0.6667 0.3333 0.6183 (multiplicity 1)
Cu11 0.6667 0.3333 0.8706 (multiplicity 1)
As1 0.3333 0.6667 0.1220 (multiplicity 1)
As2 0.3333 0.6667 0.3696 (multiplicity 1)
As3 0.3333 0.6667 0.6211 (multiplicity 1)
As4 0.3333 0.6667 0.8754 (multiplicity 1)
As5 0.6667 0.3333 0.0361 (multiplicity 1)
As6 0.6667 0.3333 0.2092 (multiplicity 1)
As7 0.6667 0.3333 0.2805 (multiplicity 1)
As8 0.6667 0.3333 0.4584 (multiplicity 1)
As9 0.6667 0.3333 0.5303 (multiplicity 1)
As10 0.6667 0.3333 0.7114 (multiplicity 1)
As11 0.6667 0.3333 0.7840 (multiplicity 1)
As12 0.6667 0.3333 0.9672 (multiplicity 1)

=====

Simulated powder diffraction line list of Li2CuAsO4 for a wavelength of 1.5418 Å, from a structure optimized by DFT (PBE).
Neutral-atom scattering factors, no anomalous dispersion.

Principal peaks in the range 2θ from 10° to 90°, by angle:
(hkl)	2θ (°)	I/Imax
0 0 1	12.88	57
1 0 -1	20.21	25
1 0 1	20.80	100
0 1 1	21.70	91
1 1 1	27.24	59
2 0 0	32.10	35
1 1 -2	35.01	45
0 2 0	35.20	54
1 1 2	35.72	36
2 1 -1	38.77	45

Structural model:
a b c (Å): 5.5783 5.0989 6.8786
angles (deg): 90.00 91.65 90.00
Space group P2_1 (No. 4)
Inequivalent atoms, fractional coordinates:
Li1 0.0882 0.0000 0.3174 (multiplicity 2)
Li2 0.1934 0.5188 0.0139 (multiplicity 2)
Cu1 0.3340 0.5823 0.5006 (multiplicity 2)
As1 0.2769 0.0262 0.7667 (multiplicity 2)
O1 0.1302 0.1812 0.5746 (multiplicity 2)
O2 0.1543 0.1334 0.9786 (multiplicity 2)
O3 0.2368 0.6859 0.7546 (multiplicity 2)
O4 0.4153 0.5897 0.2350 (multiplicity 2)

=====

Simulated powder diffraction line list of Li2CuAsO4 for a wavelength of 1.5418 Å, from a structure optimized by DFT (PBE).
Neutral-atom scattering factors, no anomalous dispersion.

Principal peaks in the range 2θ from 10° to 90°, by angle:
(hkl)	2θ (°)	I/Imax
1 0 0	12.69	66
1 0 -2	20.41	27
1 0 2	20.93	96
1 1 0	21.38	100
1 1 2	27.18	60
0 0 4	32.85	37
0 2 0	34.67	39
2 1 -2	34.80	46
2 1 2	35.44	40
1 1 -4	39.24	37

Structural model:
a b c (Å): 6.9797 5.1741 10.9090
angles (deg): 90.00 91.47 90.00
Space group P2_1/c (No. 14)
Inequivalent atoms, fractional coordinates:
Li1 0.0114 0.2316 0.3463 (multiplicity 4)
Li2 0.3220 0.7301 0.8004 (multiplicity 4)
Cu1 0.4999 0.1954 0.9137 (multiplicity 4)
As1 0.2354 0.2493 0.6121 (multiplicity 4)
O1 0.0226 0.1490 0.6704 (multiplicity 4)
O2 0.2470 0.2020 0.4548 (multiplicity 4)
O3 0.2493 0.5840 0.6354 (multiplicity 4)
O4 0.4163 0.0858 0.6905 (multiplicity 4)

=====

Simulated powder diffraction line list of MgCuAs for a wavelength of 1.5418 Å, from a structure optimized by DFT (PBE).
Neutral-atom scattering factors, no anomalous dispersion.

Principal peaks in the range 2θ from 10° to 90°, by angle:
(hkl)	2θ (°)	I/Imax
0 0 1	14.04	44
1 0 1	26.38	38
1 1 1	34.76	43
1 1 2	42.95	100
2 0 0	45.35	43
1 0 3	48.93	12
2 1 1	53.23	11
2 2 0	66.07	13
2 0 4	77.00	11
3 1 2	82.10	30

Structural model:
a b c (Å): 3.9999 3.9999 6.3090
angles (deg): 90.00 90.00 90.00
Space group P4/nmm (No. 129, origin choice 2)
Inequivalent atoms, fractional coordinates:
Mg1 0.2500 0.2500 0.1803 (multiplicity 2)
Cu1 0.2500 0.7500 0.5000 (multiplicity 2)
As1 0.2500 0.2500 0.7547 (multiplicity 2)

=====

Simulated powder diffraction line list of MgCuAs for a wavelength of 1.5418 Å, from a structure optimized by DFT (PBE).
Neutral-atom scattering factors, no anomalous dispersion.

Principal peaks in the range 2θ from 10° to 90°, by angle:
(hkl)	2θ (°)	I/Imax
1 0 1	13.61	76
4 1 0	34.73	81
2 1 2	35.61	59
5 1 1	42.10	87
0 1 3	43.04	87
1 1 3	43.58	64
0 2 0	45.45	100
6 0 2	47.11	75
6 1 1	47.87	53
6 2 2	67.54	49

Structural model:
a b c (Å): 13.5537 3.9902 7.4170
angles (deg): 90.00 90.00 90.00
Space group Pnma (No. 62)
Inequivalent atoms, fractional coordinates:
Mg1 0.1075 0.2500 0.0573 (multiplicity 4)
Mg2 0.1422 0.7500 0.6734 (multiplicity 4)
Cu1 0.0647 0.2500 0.4304 (multiplicity 4)
Cu2 0.1864 0.7500 0.3005 (multiplicity 4)
As1 0.0001 0.2500 0.7526 (multiplicity 4)
As2 0.2476 0.7500 0.9796 (multiplicity 4)

=====

Simulated powder diffraction line list of MgCu2AsO7 for a wavelength of 1.5418 Å, from a structure optimized by DFT (PBE).
Neutral-atom scattering factors, no anomalous dispersion.

Principal peaks in the range 2θ from 10° to 90°, by angle:
(hkl)	2θ (°)	I/Imax
1 0 0	19.26	100
1 0 1	19.41	95
0 1 -1	23.42	35
1 1 1	24.17	25
1 -1 1	27.29	57
1 0 2	30.55	26
1 1 -1	33.42	45
0 2 0	33.96	54
2 1 1	37.19	26
0 1 2	37.48	35

Structural model:
a b c (Å): 5.1167 5.3307 5.9625
angles (deg): 87.19 65.26 82.07
Space group P1 (No. 1)
Inequivalent atoms, fractional coordinates:
Mg1 0.0000 0.0000 0.0000 (multiplicity 1)
Cu1 0.5032 0.0227 0.4963 (multiplicity 1)
Cu2 0.7290 0.5018 0.2874 (multiplicity 1)
As1 0.4972 0.4605 0.8612 (multiplicity 1)
O1 0.1500 0.9113 0.6262 (multiplicity 1)
O2 0.2020 0.6527 0.0462 (multiplicity 1)
O3 0.3778 0.1876 0.8070 (multiplicity 1)
O4 0.6268 0.8308 0.2123 (multiplicity 1)
O5 0.7017 0.6112 0.5899 (multiplicity 1)
O6 0.7309 0.3551 0.0005 (multiplicity 1)
O7 0.8419 0.1710 0.3497 (multiplicity 1)